# 1
Pr3Er5: theoretical powder XRD pattern (Cu Kα X-rays), based on DFT lattice parameters and positions (PBE).

Crystal structure
Cell lengths 3.590, 3.590, 20.251 Å; angles 90.00, 90.00, 90.00 degrees
Fractional coordinates of all 8 atoms:
Pr 0.000 0.000 0.000
Pr 0.500 0.500 0.374
Pr 0.500 0.500 0.626
Er 0.000 0.000 0.247
Er 0.000 0.000 0.500
Er 0.000 0.000 0.753
Er 0.500 0.500 0.126
Er 0.500 0.500 0.874

Largest 6 diffraction maxima, by intensity, 2θ = 10–80°:
| Position (°2θ) | Rel. int. |
| --- | --- |
| 30.5 | 100 |
| 50.9 | 36 |
| 35.4 | 34 |
| 60.5 | 29 |
| 35.5 | 17 |
| 60.6 | 14 |

# 2
Pr13Er2: theoretical powder XRD pattern (Cu Kα X-rays), based on DFT lattice parameters and positions (PBE).

Crystal structure
Cell lengths 6.841, 9.243, 9.252 Å; angles 66.46, 82.39, 82.24 degrees
Fractional coordinates of all 15 atoms:
Pr 0.000 0.000 0.000
Pr 0.101 0.436 0.766
Pr 0.192 0.192 0.211
Pr 0.298 0.628 0.974
Pr 0.305 0.962 0.639
Pr 0.395 0.397 0.407
Pr 0.499 0.169 0.835
Pr 0.501 0.831 0.165
Pr 0.605 0.603 0.593
Pr 0.695 0.038 0.361
Pr 0.702 0.372 0.026
Pr 0.808 0.808 0.789
Pr 0.899 0.564 0.234
Er 0.099 0.768 0.430
Er 0.901 0.232 0.570

Largest 6 diffraction maxima, by intensity, 2θ = 10–80°:
| Position (°2θ) | Rel. int. |
| --- | --- |
| 30.6 | 100 |
| 54.3 | 17 |
| 60.7 | 12 |
| 54.4 | 10 |
| 43.9 | 9 |
| 43.8 | 9 |

# 3
Pr2Er2Pt3: theoretical powder XRD pattern (Cu Kα X-rays), based on DFT lattice parameters and positions (PBE).

Crystal structure
Cell lengths 7.683, 7.683, 7.683 Å; angles 109.47, 109.47, 109.47 degrees
Fractional coordinates of all 14 atoms:
Pr 0.000 0.372 0.500
Pr 0.128 0.128 0.128
Pr 0.372 0.500 0.000
Pr 0.500 0.000 0.372
Er 0.000 0.877 0.500
Er 0.500 0.000 0.877
Er 0.623 0.623 0.623
Er 0.877 0.500 0.000
Pt 0.110 0.750 0.860
Pt 0.250 0.640 0.390
Pt 0.390 0.250 0.640
Pt 0.640 0.390 0.250
Pt 0.750 0.860 0.110
Pt 0.860 0.110 0.750

Largest 6 diffraction maxima, by intensity, 2θ = 10–80°:
| Position (°2θ) | Rel. int. |
| --- | --- |
| 31.9 | 100 |
| 37.9 | 55 |
| 64.8 | 26 |
| 52.6 | 26 |
| 79.4 | 20 |
| 45.7 | 16 |

# 4
Pr8Er5Pu: theoretical powder XRD pattern (Cu Kα X-rays), based on DFT lattice parameters and positions (PBE).

Crystal structure
Cell lengths 8.640, 8.640, 9.474 Å; angles 122.68, 122.68, 62.01 degrees
Fractional coordinates of all 14 atoms:
Pr 0.031 0.031 0.360
Pr 0.128 0.474 0.570
Pr 0.418 0.090 0.832
Pr 0.418 0.227 0.288
Pr 0.526 0.872 0.430
Pr 0.773 0.582 0.712
Pr 0.910 0.582 0.168
Pr 0.969 0.969 0.640
Er 0.225 0.585 0.049
Er 0.415 0.775 0.951
Er 0.598 0.322 0.777
Er 0.678 0.402 0.223
Er 0.967 0.033 0.000
Pu 0.325 0.675 0.500

Largest 6 diffraction maxima, by intensity, 2θ = 10–80°:
| Position (°2θ) | Rel. int. |
| --- | --- |
| 31.5 | 100 |
| 31.1 | 67 |
| 32.3 | 47 |
| 30.0 | 41 |
| 34.2 | 40 |
| 29.4 | 27 |

# 5
PrErPu2Se4: theoretical powder XRD pattern (Cu Kα X-rays), based on DFT lattice parameters and positions (PBE).

Crystal structure
Cell lengths 5.106, 5.106, 7.179 Å; angles 90.00, 90.00, 90.00 degrees
Fractional coordinates of all 8 atoms:
Pr 0.000 0.000 0.000
Er 0.500 0.500 0.000
Pu 0.000 0.000 0.500
Pu 0.500 0.500 0.500
Se 0.000 0.500 0.250
Se 0.000 0.500 0.750
Se 0.500 0.000 0.250
Se 0.500 0.000 0.750

Largest 6 diffraction maxima, by intensity, 2θ = 10–80°:
| Position (°2θ) | Rel. int. |
| --- | --- |
| 35.3 | 100 |
| 35.1 | 50 |
| 63.1 | 37 |
| 24.7 | 21 |
| 63.3 | 18 |
| 50.6 | 18 |

# 6
Pr2Y6Er3Pu: theoretical powder XRD pattern (Cu Kα X-rays), based on DFT lattice parameters and positions (PBE).

Crystal structure
Cell lengths 6.189, 6.189, 11.788 Å; angles 95.04, 95.04, 120.04 degrees
Fractional coordinates of all 12 atoms:
Pr 0.167 0.833 0.000
Pr 0.833 0.167 0.000
Y 0.087 0.416 0.748
Y 0.255 0.255 0.253
Y 0.416 0.087 0.748
Y 0.584 0.913 0.252
Y 0.745 0.745 0.747
Y 0.913 0.584 0.252
Er 0.000 0.000 0.500
Er 0.333 0.667 0.500
Er 0.667 0.333 0.500
Pu 0.500 0.500 0.000

Largest 6 diffraction maxima, by intensity, 2θ = 10–80°:
| Position (°2θ) | Rel. int. |
| --- | --- |
| 30.7 | 100 |
| 35.6 | 67 |
| 30.8 | 33 |
| 60.9 | 33 |
| 51.1 | 24 |
| 51.3 | 23 |

# 7
Rb3Pr2ErSe6: theoretical powder XRD pattern (Cu Kα X-rays), based on DFT lattice parameters and positions (PBE).

Crystal structure
Cell lengths 7.524, 7.524, 8.405 Å; angles 98.59, 98.59, 120.00 degrees
Fractional coordinates of all 12 atoms:
Rb 0.000 0.000 0.000
Rb 0.331 0.669 0.000
Rb 0.669 0.331 0.000
Pr 0.166 0.834 0.500
Pr 0.834 0.166 0.500
Er 0.500 0.500 0.500
Se 0.112 0.434 0.301
Se 0.245 0.245 0.700
Se 0.434 0.112 0.301
Se 0.566 0.888 0.699
Se 0.755 0.755 0.300
Se 0.888 0.566 0.699

Largest 6 diffraction maxima, by intensity, 2θ = 10–80°:
| Position (°2θ) | Rel. int. |
| --- | --- |
| 28.0 | 100 |
| 41.6 | 36 |
| 11.0 | 25 |
| 38.3 | 23 |
| 50.9 | 19 |
| 67.7 | 15 |

# 8
PrEr3Rh8: theoretical powder XRD pattern (Cu Kα X-rays), based on DFT lattice parameters and positions (PBE).

Crystal structure
Cell lengths 5.343, 5.343, 8.753 Å; angles 90.00, 90.00, 120.00 degrees
Fractional coordinates of all 12 atoms:
Pr 0.000 0.000 0.000
Er 0.000 0.000 0.368
Er 0.667 0.333 0.498
Er 0.667 0.333 0.862
Rh 0.165 0.329 0.679
Rh 0.165 0.835 0.679
Rh 0.333 0.667 0.432
Rh 0.333 0.667 0.931
Rh 0.502 0.004 0.187
Rh 0.502 0.498 0.187
Rh 0.671 0.835 0.679
Rh 0.996 0.498 0.187

Largest 6 diffraction maxima, by intensity, 2θ = 10–80°:
| Position (°2θ) | Rel. int. |
| --- | --- |
| 39.5 | 100 |
| 36.4 | 89 |
| 40.3 | 79 |
| 33.5 | 44 |
| 61.9 | 36 |
| 67.0 | 30 |

Number 1 is which compound?
Pr3Er5